The following is a simulated powder diffractogram of ScSi. It was derived from a crystal structure in the Materials Project, relaxed with GGA-PBE, using Cu Kα X-rays.
Peak positions follow from Bragg's law for the DFT cell and can differ from measured ones.

```
ScSi
1.0
4.003 0.000 0.000
0.000 9.906 0.000
0.000 0.000 3.668
Sc Si
4 4
Cartesian
0.000 1.376 0.917
0.000 8.530 2.751
2.001 3.577 2.751
2.001 6.328 0.917
0.000 4.148 0.917
0.000 5.758 2.751
2.001 0.805 2.751
2.001 9.100 0.917
```

Largest 8 diffraction maxima, by angle, 10 to 90 degrees two-theta:
2θ (°), d (Å), I (rel.)
34.4, 2.609, 100.0
35.2, 2.547, 31.7
36.3, 2.476, 27.8
43.2, 2.092, 56.0
44.1, 2.052, 16.8
45.3, 2.001, 25.0
49.7, 1.834, 18.6
69.5, 1.352, 12.9

The following is a simulated powder diffractogram of AgGeO3. It was derived from a crystal structure in the Materials Project, relaxed with GGA-PBE, using Cu Kα X-rays.
Peak positions follow from Bragg's law for the DFT cell and can differ from measured ones.

```
AgGeO3
1.0
3.170 0.000 0.000
0.000 5.158 0.000
0.000 0.000 9.309
Ag Ge O
2 2 6
Cartesian
0.000 0.017 0.000
0.000 5.141 4.654
1.585 2.111 6.986
1.585 3.048 2.331
0.000 2.130 2.290
0.000 3.028 6.945
1.585 1.104 5.519
1.585 1.145 8.468
1.585 4.014 3.814
1.585 4.055 0.865
```

Largest 8 diffraction maxima, by angle, 10 to 90 degrees two-theta:
2θ (°), d (Å), I (rel.)
19.7, 4.512, 13.3
25.8, 3.456, 100.0
33.2, 2.701, 33.0
34.2, 2.620, 31.3
38.7, 2.327, 14.9
49.6, 1.838, 18.7
51.9, 1.763, 20.9
64.7, 1.441, 13.3

The following is a simulated powder diffractogram of LaTiAlPbO6. It was derived from a crystal structure in the Materials Project, relaxed with GGA-PBE, using Cu Kα X-rays.
Peak positions follow from Bragg's law for the DFT cell and can differ from measured ones.

```
LaTiAlPbO6
1.0
0.000 3.893 3.893
3.893 0.000 3.893
3.893 3.893 0.000
La Ti Al Pb O
1 1 1 1 6
Cartesian
0.000 0.000 0.000
1.946 1.946 1.946
5.839 5.839 5.839
3.893 3.893 3.893
5.839 5.839 3.918
5.839 3.918 5.839
7.760 5.839 5.839
3.918 5.839 5.839
5.839 7.760 5.839
5.839 5.839 7.760
```

Largest 8 diffraction maxima, by angle, 10 to 90 degrees two-theta:
2θ (°), d (Å), I (rel.)
22.8, 3.893, 42.4
32.5, 2.753, 100.0
40.1, 2.247, 34.3
46.7, 1.946, 32.1
52.6, 1.741, 21.1
58.0, 1.589, 39.5
68.1, 1.376, 19.4
77.5, 1.231, 17.4

The following is a simulated powder diffractogram of K3AlBr6. It was derived from a crystal structure in the Materials Project, relaxed with GGA-PBE, using Cu Kα X-rays.
Peak positions follow from Bragg's law for the DFT cell and can differ from measured ones.

```
K3AlBr6
1.0
0.000 5.632 5.632
5.632 0.000 5.632
5.632 5.632 0.000
K Al Br
3 1 6
Cartesian
0.000 0.000 0.000
2.816 2.816 2.816
8.448 8.448 8.448
5.632 5.632 5.632
5.632 5.632 3.112
5.632 3.112 5.632
8.152 5.632 5.632
3.112 5.632 5.632
5.632 8.152 5.632
5.632 5.632 8.152
```

Largest 8 diffraction maxima, by angle, 10 to 90 degrees two-theta:
2θ (°), d (Å), I (rel.)
15.7, 5.632, 31.7
27.4, 3.252, 100.0
31.8, 2.816, 81.4
41.7, 2.168, 19.1
45.6, 1.991, 50.7
54.0, 1.698, 31.9
56.6, 1.626, 15.2
75.5, 1.259, 15.4